Diffraction record for KLiCuTe2. The XRD peak list is theoretical, not measured: it uses a DFT-relaxed cell (PBE, Alexandria) and λ = 1.5418 Å (Cu Kα).
Intensities are scaled so that the largest is 100.

Cell: 7.8517 7.8517 7.8517 Å, 147.95 147.95 45.96°
Positions (direct):
K  0.0000  0.0000  0.0000
Li  0.7500  0.2500  0.5000
Cu  0.2500  0.7500  0.5000
Te  0.3584  0.3584  0.0000
Te  0.6416  0.6416  0.0000

Main lines, in order of falling intensity (10 to 80 degrees two-theta):
d_spacing, I/Imax
3.223, 100
4.152, 44
2.338, 38
1.799, 36
2.167, 29
3.065, 28